No. 1
# FeReHgGe
Calculated X-ray powder pattern, Cu Kα. Input: a structure optimized by DFT (GGA-PBE).
Neutral-atom scattering factors, no anomalous dispersion.

Cell and atoms:
a = 6.293 Å, b = 6.293 Å, c = 6.293 Å
α = 90.00°, β = 90.00°, γ = 90.00°
Positions (direct):
Fe 0.000 0.000 0.000
Fe 0.000 0.500 0.500
Fe 0.500 0.000 0.500
Fe 0.500 0.500 0.000
Re 0.000 0.000 0.500
Re 0.000 0.500 0.000
Re 0.500 0.000 0.000
Re 0.500 0.500 0.500
Hg 0.250 0.250 0.250
Hg 0.250 0.750 0.750
Hg 0.750 0.250 0.750
Hg 0.750 0.750 0.250
Ge 0.250 0.250 0.750
Ge 0.250 0.750 0.250
Ge 0.750 0.250 0.250
Ge 0.750 0.750 0.750

Principal peaks in the range 10 to 90 degrees two-theta, by intensity:
| (hkl) | d_spacing | I (rel.) |
| --- | --- | --- |
| 2 2 0 | 2.225 | 100 |
| 4 2 2 | 1.285 | 34 |
| 1 1 1 | 3.633 | 28 |
| 4 0 0 | 1.573 | 17 |
| 3 1 1 | 1.897 | 15 |
| 4 4 0 | 1.112 | 11 |
| 3 3 1 | 1.444 | 6 |
| 5 1 1 | 1.211 | 5 |
| 2 0 0 | 3.146 | 1 |

No. 2
# TaNbSe4
Calculated X-ray powder pattern, Cu Kα. Input: a structure optimized by DFT (GGA-PBE).
Neutral-atom scattering factors, no anomalous dispersion.

Cell and atoms:
a = 3.462 Å, b = 23.445 Å, c = 6.027 Å
α = 90.00°, β = 90.00°, γ = 90.00°
Positions (direct):
Ta 0.000 0.000 0.000
Ta 0.000 0.500 0.500
Nb 0.500 0.000 0.482
Nb 0.500 0.500 0.982
Se 0.000 0.073 0.324
Se 0.000 0.427 0.824
Se 0.000 0.573 0.824
Se 0.000 0.927 0.324
Se 0.500 0.070 0.824
Se 0.500 0.430 0.324
Se 0.500 0.570 0.324
Se 0.500 0.930 0.824

Principal peaks in the range 10 to 90 degrees two-theta, by intensity:
| (hkl) | d_spacing | I (rel.) |
| --- | --- | --- |
| 1 7 1 | 2.236 | 100 |
| 1 5 1 | 2.528 | 91 |
| 1 1 1 | 2.978 | 72 |
| 2 0 0 | 1.733 | 68 |
| 0 4 0 | 5.855 | 58 |
| 0 6 2 | 2.386 | 57 |
| 1 9 1 | 1.967 | 45 |
| 1 3 1 | 2.803 | 44 |
| 0 8 2 | 2.101 | 38 |
| 0 4 2 | 2.680 | 32 |

No. 3
# Cu3Ag4
Calculated X-ray powder pattern, Cu Kα. Input: a structure optimized by DFT (GGA-PBE).
Neutral-atom scattering factors, no anomalous dispersion.

Cell and atoms:
a = 2.837 Å, b = 3.803 Å, c = 20.009 Å
α = 90.00°, β = 90.00°, γ = 90.00°
Positions (direct):
Cu 0.000 0.000 0.000
Cu 0.000 0.000 0.140
Cu 0.000 0.000 0.860
Cu 0.500 0.500 0.360
Cu 0.500 0.500 0.500
Cu 0.500 0.500 0.640
Ag 0.000 0.000 0.290
Ag 0.000 0.000 0.430
Ag 0.000 0.000 0.570
Ag 0.000 0.000 0.710
Ag 0.500 0.500 0.070
Ag 0.500 0.500 0.210
Ag 0.500 0.500 0.790
Ag 0.500 0.500 0.930

Principal peaks in the range 10 to 90 degrees two-theta, by intensity:
| (hkl) | d_spacing | I (rel.) |
| --- | --- | --- |
| 1 1 0 | 2.274 | 100 |
| 0 1 7 | 2.285 | 100 |
| 1 0 7 | 2.013 | 67 |
| 1 2 7 | 1.382 | 37 |
| 0 2 0 | 1.901 | 28 |
| 2 1 7 | 1.205 | 23 |
| 1 1 14 | 1.210 | 22 |
| 1 3 0 | 1.157 | 11 |
| 0 3 7 | 1.159 | 10 |
| 2 0 0 | 1.418 | 10 |

No. 4
# Lu4InBiN2
Calculated X-ray powder pattern, Cu Kα. Input: a structure optimized by DFT (GGA-PBE).
Neutral-atom scattering factors, no anomalous dispersion.

Cell and atoms:
a = 3.470 Å, b = 3.470 Å, c = 15.074 Å
α = 90.00°, β = 90.00°, γ = 120.00°
Positions (direct):
Lu 0.000 0.000 0.166
Lu 0.000 0.000 0.834
Lu 0.667 0.333 0.333
Lu 0.667 0.333 0.667
In 0.667 0.333 0.000
Bi 0.000 0.000 0.500
N 0.333 0.667 0.253
N 0.333 0.667 0.747

Principal peaks in the range 10 to 90 degrees two-theta, by intensity:
| (hkl) | d_spacing | I (rel.) |
| --- | --- | --- |
| 1 0 3 | 2.579 | 100 |
| 1 0 0 | 3.005 | 23 |
| 1 1 0 | 1.735 | 21 |
| 1 1 6 | 1.428 | 21 |
| 0 0 6 | 2.512 | 20 |
| 1 0 9 | 1.463 | 18 |
| 2 0 3 | 1.440 | 17 |
| 1 0 6 | 1.928 | 16 |
| 2 1 3 | 1.108 | 15 |
| 2 0 9 | 1.118 | 8 |

No. 5
# HgTePb
Calculated X-ray powder pattern, Cu Kα. Input: a structure optimized by DFT (GGA-PBE).
Neutral-atom scattering factors, no anomalous dispersion.

Cell and atoms:
a = 7.552 Å, b = 7.552 Å, c = 7.552 Å
α = 90.00°, β = 90.00°, γ = 90.00°
Positions (direct):
Hg 0.000 0.000 0.000
Hg 0.000 0.500 0.500
Hg 0.500 0.000 0.500
Hg 0.500 0.500 0.000
Te 0.250 0.250 0.250
Te 0.250 0.750 0.750
Te 0.750 0.250 0.750
Te 0.750 0.750 0.250
Pb 0.000 0.000 0.500
Pb 0.000 0.500 0.000
Pb 0.500 0.000 0.000
Pb 0.500 0.500 0.500

Principal peaks in the range 10 to 90 degrees two-theta, by intensity:
| (hkl) | d_spacing | I (rel.) |
| --- | --- | --- |
| 2 2 0 | 2.670 | 100 |
| 4 2 2 | 1.542 | 38 |
| 2 0 0 | 3.776 | 33 |
| 4 0 0 | 1.888 | 18 |
| 6 2 0 | 1.194 | 17 |
| 4 2 0 | 1.689 | 15 |
| 1 1 1 | 4.360 | 13 |
| 4 4 0 | 1.335 | 12 |
| 2 2 2 | 2.180 | 11 |
| 6 0 0 | 1.259 | 7 |